Diffraction record for Pr3Zn2Cd3. The PXRD pattern is calculated, not measured: it uses DFT lattice parameters and positions (PBE) and Cu Kα X-rays.
Lines closer than 0.1° are merged.

Atomic structure:
```
Pr3Zn2Cd3
1.0
7.7441 0.0000 0.0000
-3.8720 6.7066 0.0000
0.0000 0.0000 4.0578
Pr Zn Cd
3 2 3
Direct
0.0000 0.5977 0.0000
0.4023 0.4023 0.0000
0.5977 0.0000 0.0000
0.3333 0.6667 0.5000
0.6667 0.3333 0.5000
0.0000 0.2331 0.5000
0.2331 0.0000 0.5000
0.7669 0.7669 0.5000
```

Principal peaks in the range 10° ≤ 2θ ≤ 80°, sorted by position:
25.7 deg, I = 14.2; 31.9 deg, I = 100.0; 34.7 deg, I = 45.5; 35.4 deg, I = 60.7; 40.3 deg, I = 13.9; 44.7 deg, I = 17.6; 54.2 deg, I = 24.2; 58.2 deg, I = 27.7; 64.8 deg, I = 15.2; 68.1 deg, I = 11.2